Diffraction record for Y2Zr4Cd3C3. The X-ray powder pattern is calculated, not measured: it uses a DFT-relaxed cell (PBE, OQMD) and λ = 1.5418 Å (Cu Kα).
No peak broadening, texture or thermal motion is included.

Main lines, by intensity (2θ from 5° to 70°):
- 2θ = 35.0°, 2.566 Å, I 100.0
- 2θ = 35.1°, 2.558 Å, I 84.5
- 2θ = 63.0°, 1.475 Å, I 17.1
- 2θ = 30.7°, 2.911 Å, I 16.2
- 2θ = 36.4°, 2.471 Å, I 15.4
- 2θ = 37.6°, 2.394 Å, I 14.6

Atomic structure:
abc: 5.9237 5.9237 15.7397
angles: 101.07 101.07 60.07
Atoms (fractional coordinates):
Y 0.0349 0.8736 0.6020
Y 0.1264 0.9651 0.8980
Y 0.8736 0.0349 0.1020
Y 0.9651 0.1264 0.3980
Zr 0.1919 0.3508 0.0768
Zr 0.2987 0.4835 0.4232
Zr 0.3508 0.1919 0.5768
Zr 0.4835 0.2987 0.9232
Zr 0.5165 0.7013 0.0768
Zr 0.6492 0.8081 0.4232
Zr 0.7013 0.5165 0.5768
Zr 0.8081 0.6492 0.9232
Cd 0.0861 0.3987 0.7506
Cd 0.3987 0.0861 0.2506
Cd 0.4289 0.5711 0.2500
Cd 0.5711 0.4289 0.7500
Cd 0.6013 0.9139 0.7494
Cd 0.9139 0.6013 0.2494
C 0.0000 0.5000 0.5000
C 0.1732 0.6533 0.0000
C 0.3467 0.8268 0.5000
C 0.5000 0.0000 0.0000
C 0.6533 0.1732 0.5000
C 0.8268 0.3467 0.0000